(1)
Calculated powder diffractogram
Compound: Sr4Cl
Radiation: a wavelength of 1.5418 Å
Structure: DFT lattice parameters and positions (PBE)
No peak broadening, texture or thermal motion is included.

Largest 8 diffraction maxima, in order of falling intensity, 5 to 70 degrees two-theta:
- 2θ = 29.0°, I = 100
- 2θ = 26.6°, I = 63
- 2θ = 48.5°, I = 28
- 2θ = 23.8°, I = 22
- 2θ = 41.6°, I = 20
- 2θ = 52.8°, I = 18
- 2θ = 23.5°, I = 15
- 2θ = 50.2°, I = 14

Cell and atoms:
Lattice parameters (Å, degrees): 7.7567 7.7567 7.7567 93.92 93.92 149.69
Atoms (fractional coordinates):
Sr1 0.0699 0.7346 0.8046
Sr2 0.2654 0.0699 0.3353
Sr3 0.7346 0.9301 0.6647
Sr4 0.9301 0.2654 0.1955
Cl1 0.5000 0.5000 0.0000

(2)
Calculated powder diffractogram
Compound: DyU2CuS6
Radiation: a wavelength of 1.5418 Å
Structure: DFT lattice parameters and positions (PBE)
No peak broadening, texture or thermal motion is included.

Largest 8 diffraction maxima, in order of falling intensity, 5 to 70 degrees two-theta:
- 2θ = 24.7°, I = 100
- 2θ = 40.4°, I = 37
- 2θ = 49.0°, I = 33
- 2θ = 29.1°, I = 31
- 2θ = 13.6°, I = 24
- 2θ = 41.6°, I = 24
- 2θ = 46.9°, I = 19
- 2θ = 34.5°, I = 16

Cell and atoms:
Lattice parameters (Å, degrees): 6.1400 6.1400 6.4948 90.00 90.00 90.00
Atoms (fractional coordinates):
Dy1 0.0000 0.0000 0.0000
U1 0.0000 0.5000 0.4314
U2 0.5000 0.0000 0.4314
Cu1 0.5000 0.5000 0.9683
S1 0.0000 0.0000 0.5931
S2 0.2633 0.2633 0.1848
S3 0.2633 0.7367 0.1848
S4 0.5000 0.5000 0.6241
S5 0.7367 0.2633 0.1848
S6 0.7367 0.7367 0.1848

(3)
Calculated powder diffractogram
Compound: NaLa4Se5
Radiation: a wavelength of 1.5418 Å
Structure: DFT lattice parameters and positions (PBE)
No peak broadening, texture or thermal motion is included.

Largest 8 diffraction maxima, in order of falling intensity, 5 to 70 degrees two-theta:
- 2θ = 29.3°, I = 100
- 2θ = 41.9°, I = 75
- 2θ = 52.0°, I = 26
- 2θ = 68.9°, I = 22
- 2θ = 69.0°, I = 11
- 2θ = 25.3°, I = 9
- 2θ = 60.7°, I = 8
- 2θ = 17.2°, I = 6

Cell and atoms:
Lattice parameters (Å, degrees): 7.4675 7.4675 7.4675 99.54 99.54 131.95
Atoms (fractional coordinates):
Na1 0.0000 0.0000 0.0000
La1 0.2008 0.3985 0.5993
La2 0.3985 0.7992 0.1976
La3 0.6015 0.2008 0.8024
La4 0.7992 0.6015 0.4007
Se1 0.0980 0.7021 0.8000
Se2 0.2979 0.0980 0.3959
Se3 0.5000 0.5000 0.0000
Se4 0.7021 0.9020 0.6041
Se5 0.9020 0.2979 0.2000

(4)
Calculated powder diffractogram
Compound: Ce3Al9Zn2
Radiation: a wavelength of 1.5418 Å
Structure: DFT lattice parameters and positions (PBE)
No peak broadening, texture or thermal motion is included.

Largest 8 diffraction maxima, in order of falling intensity, 5 to 70 degrees two-theta:
- 2θ = 34.6°, I = 100
- 2θ = 22.3°, I = 43
- 2θ = 34.1°, I = 34
- 2θ = 22.8°, I = 27
- 2θ = 33.8°, I = 25
- 2θ = 41.5°, I = 25
- 2θ = 54.8°, I = 20
- 2θ = 29.5°, I = 17

Cell and atoms:
Lattice parameters (Å, degrees): 8.3741 8.3741 8.3741 149.91 106.17 81.74
Atoms (fractional coordinates):
Ce1 0.0000 0.0000 0.0000
Ce2 0.3126 0.3126 0.0000
Ce3 0.6874 0.6874 0.0000
Al1 0.0296 0.6603 0.3693
Al2 0.1415 0.8642 0.2773
Al3 0.2909 0.6603 0.6307
Al4 0.4131 0.1358 0.2773
Al5 0.5000 0.0000 0.5000
Al6 0.5869 0.8642 0.7227
Al7 0.7091 0.3397 0.3693
Al8 0.8585 0.1358 0.7227
Al9 0.9704 0.3397 0.6307
Zn1 0.2906 0.5000 0.7906
Zn2 0.7094 0.5000 0.2094